For PdIN, DFT lattice parameters and positions (PBE) gives the simulated X-ray powder pattern in this record (Cu Kα, 1.54184 Å).

Cell and atoms:
```
PdIN
1.0
3.354 0.000 0.000
0.000 4.092 0.000
0.000 0.000 9.104
Pd I N
2 2 2
Cartesian
0.839 1.023 0.883
2.516 3.069 8.222
0.839 3.069 6.065
2.516 1.023 3.039
0.839 3.069 0.444
2.516 1.023 8.660
```

Largest 10 diffraction maxima, in order of rising 2θ, 5° ≤ 2θ ≤ 70°:
2θ 9.71, intensity 24
2θ 23.84, intensity 100
2θ 33.18, intensity 74
2θ 36.00, intensity 48
2θ 40.03, intensity 26
2θ 44.27, intensity 21
2θ 45.61, intensity 17
2θ 46.03, intensity 31
2θ 56.42, intensity 31
2θ 60.52, intensity 15

For Pm2I3N, DFT lattice parameters and positions (PBE) gives the simulated X-ray powder pattern in this record (Cu Kα, 1.54184 Å).

Cell and atoms:
```
Pm2I3N
1.0
10.303 -2.046 0.000
10.303 2.046 0.000
-7.669 0.000 10.316
Pm I N
4 6 2
Cartesian
-2.151 0.000 4.778
5.864 0.000 2.341
7.073 0.000 7.976
15.087 0.000 5.538
3.448 0.000 0.075
3.003 0.000 3.882
3.837 0.000 7.774
9.100 0.000 2.542
9.933 0.000 6.434
9.489 0.000 10.241
-3.493 0.000 6.681
16.429 0.000 3.635
```

Largest 10 diffraction maxima, in order of rising 2θ, 5° ≤ 2θ ≤ 70°:
2θ 8.86, intensity 100
2θ 25.15, intensity 34
2θ 25.35, intensity 28
2θ 26.28, intensity 37
2θ 28.09, intensity 41
2θ 30.30, intensity 76
2θ 32.38, intensity 29
2θ 35.54, intensity 32
2θ 35.84, intensity 42
2θ 37.81, intensity 43

For WIN, DFT lattice parameters and positions (PBE) gives the simulated X-ray powder pattern in this record (Cu Kα, 1.54184 Å).

Cell and atoms:
```
WIN
1.0
1.797 1.038 10.015
-1.797 1.038 10.015
0.000 -2.075 10.015
W I N
2 2 2
Cartesian
0.000 0.000 3.957
0.000 0.000 26.087
0.000 0.000 11.687
0.000 0.000 18.357
0.000 0.000 6.015
0.000 0.000 24.028
```

Largest 10 diffraction maxima, in order of rising 2θ, 5° ≤ 2θ ≤ 70°:
2θ 8.83, intensity 59
2θ 31.10, intensity 100
2θ 35.63, intensity 13
2θ 35.87, intensity 14
2θ 37.53, intensity 46
2θ 44.11, intensity 17
2θ 50.80, intensity 30
2θ 60.77, intensity 15
2θ 63.74, intensity 16
2θ 66.30, intensity 10

For NaNdI4, DFT lattice parameters and positions (PBE) gives the simulated X-ray powder pattern in this record (Cu Kα, 1.54184 Å).

Cell and atoms:
```
NaNdI4
1.0
7.618 0.000 0.000
-1.425 7.735 0.000
-0.334 -0.100 8.121
Na Nd I
2 2 8
Cartesian
1.117 2.496 3.577
4.742 5.140 4.544
0.415 6.205 0.478
5.444 1.431 7.643
-1.252 7.611 6.044
-0.225 3.748 6.391
1.905 5.563 3.102
2.938 1.507 0.929
2.921 6.129 7.192
3.954 2.073 5.019
6.084 3.888 1.730
7.111 0.025 2.077
```

Largest 10 diffraction maxima, in order of rising 2θ, 5° ≤ 2θ ≤ 70°:
2θ 10.89, intensity 77
2θ 23.90, intensity 70
2θ 25.78, intensity 78
2θ 26.26, intensity 60
2θ 26.48, intensity 49
2θ 26.89, intensity 100
2θ 27.82, intensity 90
2θ 31.78, intensity 67
2θ 32.47, intensity 57
2θ 41.22, intensity 53

For NaTl2NiI6, DFT lattice parameters and positions (PBE) gives the simulated X-ray powder pattern in this record (Cu Kα, 1.54184 Å).

Cell and atoms:
```
NaTl2NiI6
1.0
0.000 5.710 5.710
5.710 0.000 5.710
5.710 5.710 0.000
Na Tl Ni I
1 2 1 6
Cartesian
0.000 0.000 0.000
2.855 2.855 2.855
8.565 8.565 8.565
5.710 5.710 5.710
5.710 5.710 3.052
5.710 3.052 5.710
8.368 5.710 5.710
3.052 5.710 5.710
5.710 8.368 5.710
5.710 5.710 8.368
```

Largest 10 diffraction maxima, in order of rising 2θ, 5° ≤ 2θ ≤ 70°:
2θ 13.43, intensity 7
2θ 22.02, intensity 14
2θ 27.05, intensity 100
2θ 31.33, intensity 70
2θ 38.63, intensity 6
2θ 41.07, intensity 6
2θ 44.90, intensity 50
2θ 53.21, intensity 42
2θ 55.77, intensity 17
2θ 65.38, intensity 7

For NbI4, DFT lattice parameters and positions (PBE) gives the simulated X-ray powder pattern in this record (Cu Kα, 1.54184 Å).

Cell and atoms:
```
NbI4
1.0
3.892 -7.023 0.000
3.892 7.023 0.000
0.000 0.000 14.876
Nb I
4 16
Cartesian
1.657 1.740 0.000
1.657 -1.740 7.438
6.128 1.740 0.000
6.128 -1.740 7.438
3.892 6.914 13.630
1.894 3.258 12.622
1.905 0.212 2.247
3.892 3.438 8.686
1.905 -0.212 9.685
3.892 3.315 1.063
1.894 -3.258 5.184
3.892 0.164 13.808
3.892 -0.164 6.370
5.891 3.258 12.622
3.892 -3.315 8.501
5.879 0.212 2.247
3.892 -3.438 1.248
5.879 -0.212 9.685
5.891 -3.258 5.184
3.892 -6.914 6.192
```

Largest 10 diffraction maxima, in order of rising 2θ, 5° ≤ 2θ ≤ 70°:
2θ 11.90, intensity 26
2θ 13.94, intensity 28
2θ 25.36, intensity 26
2θ 27.13, intensity 44
2θ 28.84, intensity 100
2θ 35.15, intensity 21
2θ 36.52, intensity 24
2θ 43.27, intensity 24
2θ 46.91, intensity 21
2θ 50.81, intensity 21

For NbI, DFT lattice parameters and positions (PBE) gives the simulated X-ray powder pattern in this record (Cu Kα, 1.54184 Å).

Cell and atoms:
```
NbI
1.0
3.408 0.000 0.000
-1.704 2.952 0.000
0.000 0.000 4.416
Nb I
1 1
Cartesian
0.000 0.000 0.000
0.000 1.968 2.208
```

Largest 10 diffraction maxima, in order of rising 2θ, 5° ≤ 2θ ≤ 70°:
2θ 20.11, intensity 2
2θ 30.28, intensity 29
2θ 36.62, intensity 100
2θ 40.87, intensity 16
2θ 51.70, intensity 13
2θ 53.79, intensity 21
2θ 58.01, intensity 1
2θ 62.98, intensity 3
2θ 66.84, intensity 17
2θ 69.70, intensity 19

For NbI5, DFT lattice parameters and positions (PBE) gives the simulated X-ray powder pattern in this record (Cu Kα, 1.54184 Å).

Cell and atoms:
```
NbI5
1.0
10.953 0.000 0.000
0.000 6.534 0.000
-4.925 0.000 13.909
Nb I
4 20
Cartesian
0.853 0.005 4.218
-1.609 3.262 11.172
7.637 3.272 2.737
5.175 6.529 9.691
-0.827 1.633 2.343
-3.289 1.634 9.298
9.317 4.900 4.611
6.855 4.900 11.565
-0.160 1.529 6.226
-2.623 1.738 13.180
-1.123 4.793 8.983
1.340 5.007 2.028
0.443 1.607 10.686
2.905 1.660 3.732
2.134 4.890 5.900
-0.328 4.911 12.854
6.356 1.623 1.054
3.894 1.644 8.009
3.123 4.874 10.177
5.585 4.927 3.222
4.689 1.527 11.881
7.151 1.740 4.926
8.651 4.796 0.729
6.189 5.005 7.683
```

Largest 10 diffraction maxima, in order of rising 2θ, 5° ≤ 2θ ≤ 70°:
2θ 12.74, intensity 17
2θ 27.30, intensity 26
2θ 27.77, intensity 44
2θ 28.28, intensity 100
2θ 36.75, intensity 17
2θ 37.15, intensity 23
2θ 42.73, intensity 12
2θ 42.86, intensity 12
2θ 48.86, intensity 21
2θ 51.47, intensity 15

For Nb4Te12I, DFT lattice parameters and positions (PBE) gives the simulated X-ray powder pattern in this record (Cu Kα, 1.54184 Å).

Cell and atoms:
```
Nb4Te12I
1.0
10.860 -3.087 0.000
10.860 3.087 0.000
-10.423 0.000 16.844
Nb Te I
8 24 2
Cartesian
-2.365 0.275 6.168
-7.576 -0.275 14.590
1.062 1.140 12.902
5.023 1.140 12.365
6.274 -1.140 4.480
10.235 -1.140 3.943
18.873 0.275 2.255
13.662 -0.275 10.677
-5.124 0.026 10.509
0.087 -0.026 2.087
7.772 1.718 0.192
-4.717 0.045 13.989
0.495 -0.045 5.567
0.945 0.818 9.995
4.270 0.572 4.752
4.391 0.819 9.529
8.736 1.718 8.231
1.695 0.819 15.737
-0.942 -0.572 13.174
6.156 -0.818 1.573
5.141 0.818 15.271
12.239 0.572 3.671
9.602 -0.819 1.107
2.561 -1.718 8.614
6.906 -0.819 7.315
7.027 -0.572 12.093
10.352 -0.818 6.849
10.802 0.045 11.278
16.014 -0.045 2.855
3.525 -1.718 16.653
11.210 0.026 14.758
16.421 -0.026 6.336
8.254 1.116 4.211
3.043 -1.116 12.633
```

Largest 10 diffraction maxima, in order of rising 2θ, 5° ≤ 2θ ≤ 70°:
2θ 9.58, intensity 46
2θ 9.81, intensity 32
2θ 23.71, intensity 37
2θ 25.27, intensity 95
2θ 28.09, intensity 100
2θ 32.47, intensity 68
2θ 36.08, intensity 33
2θ 37.78, intensity 29
2θ 38.33, intensity 29
2θ 44.29, intensity 30

For Nb4Te17I4, DFT lattice parameters and positions (PBE) gives the simulated X-ray powder pattern in this record (Cu Kα, 1.54184 Å).

Cell and atoms:
```
Nb4Te17I4
1.0
8.291 -4.272 0.000
8.291 4.272 0.000
-6.751 0.000 26.193
Nb Te I
8 34 8
Cartesian
1.370 2.427 14.600
2.477 2.583 17.599
3.979 2.583 21.690
5.086 2.427 24.690
4.745 -2.427 1.503
5.852 -2.583 4.503
7.354 -2.583 8.594
8.461 -2.427 11.593
-5.123 0.148 23.764
6.603 3.875 6.548
-1.747 -0.148 10.668
1.448 2.495 20.311
0.186 1.095 16.910
2.947 1.764 12.306
-2.548 0.269 22.712
0.828 -0.269 9.615
4.539 0.149 0.257
1.163 -0.149 13.353
5.007 2.495 18.978
3.779 1.049 15.701
5.813 0.336 4.673
3.562 -1.095 3.813
2.676 1.049 23.589
10.260 1.764 0.790
2.437 -0.336 17.769
7.394 0.336 8.424
-0.429 -1.764 25.403
7.155 -1.049 2.604
6.269 1.095 22.380
4.018 -0.336 21.520
6.052 -1.049 10.492
4.824 -2.495 7.215
8.668 0.149 12.840
5.292 -0.149 25.936
9.003 0.269 16.578
12.378 -0.269 3.481
6.884 -1.764 13.887
9.644 -1.095 9.283
8.383 -2.495 5.882
11.578 0.148 15.525
3.228 -3.875 19.645
14.954 -0.148 2.428
0.171 3.158 24.736
6.284 3.158 14.553
3.845 0.428 7.719
0.469 -0.428 20.816
9.361 0.428 5.377
5.986 -0.428 18.474
3.547 -3.158 11.639
9.659 -3.158 1.457
```

Largest 10 diffraction maxima, in order of rising 2θ, 5° ≤ 2θ ≤ 70°:
2θ 11.40, intensity 72
2θ 11.82, intensity 100
2θ 25.54, intensity 49
2θ 30.61, intensity 33
2θ 31.79, intensity 19
2θ 31.95, intensity 20
2θ 34.02, intensity 20
2θ 35.91, intensity 21
2θ 37.31, intensity 19
2θ 38.87, intensity 23

For Nb3TeI7, DFT lattice parameters and positions (PBE) gives the simulated X-ray powder pattern in this record (Cu Kα, 1.54184 Å).

Cell and atoms:
```
Nb3TeI7
1.0
7.732 0.000 0.000
-3.866 6.696 0.000
0.000 0.000 14.469
Nb Te I
6 2 14
Cartesian
0.000 1.774 0.000
-2.329 5.809 0.000
1.537 0.887 7.235
2.329 5.809 0.000
6.195 0.887 7.235
3.866 4.921 7.235
0.000 0.000 5.149
0.000 0.000 12.383
-1.915 3.358 5.690
0.000 2.247 9.091
-1.920 5.572 9.091
0.000 4.464 1.468
1.946 1.123 1.857
1.915 3.358 5.690
0.000 6.675 5.690
3.866 0.021 12.924
1.951 3.338 12.924
1.920 5.572 9.091
3.866 2.232 8.702
5.786 1.123 1.857
3.866 4.449 1.857
5.781 3.338 12.924
```

Largest 10 diffraction maxima, in order of rising 2θ, 5° ≤ 2θ ≤ 70°:
2θ 12.23, intensity 33
2θ 24.61, intensity 20
2θ 27.34, intensity 22
2θ 29.40, intensity 100
2θ 32.56, intensity 48
2θ 41.23, intensity 25
2θ 46.40, intensity 22
2θ 47.01, intensity 33
2θ 53.77, intensity 20
2θ 56.42, intensity 15